# 1
Diffraction record for PrAsSe. The XRD peak list is theoretical, not measured: it uses a structure optimized by DFT (GGA-PBE) and a wavelength of 1.5418 Å.
Intensities are scaled so that the largest is 100.

Atomic structure:
```
data_PrAsSe
_symmetry_space_group_name_H-M 'P 1'
_symmetry_Int_Tables_number 1
_cell_length_a 18.241
_cell_length_b 4.022
_cell_length_c 4.107
_cell_angle_alpha 90.00
_cell_angle_beta 90.00
_cell_angle_gamma 90.00
loop_
_symmetry_equiv_pos_as_xyz
'x,y,z'
loop_
_atom_site_label
_atom_site_type_symbol
_atom_site_fract_x
_atom_site_fract_y
_atom_site_fract_z
Pr1 Pr 0.140 0.250 0.228
Pr2 Pr 0.360 0.750 0.728
Pr3 Pr 0.640 0.250 0.272
Pr4 Pr 0.860 0.750 0.772
As1 As 0.003 0.250 0.699
As2 As 0.497 0.750 0.199
As3 As 0.503 0.250 0.801
As4 As 0.997 0.750 0.301
Se1 Se 0.187 0.750 0.730
Se2 Se 0.313 0.250 0.230
Se3 Se 0.687 0.750 0.770
Se4 Se 0.813 0.250 0.270
```

Peak list (10 most intense, 2θ from 10° to 90°, in order of falling intensity)
- 37.00°, rel. 100
- 32.67°, rel. 59
- 29.38°, rel. 36
- 31.12°, rel. 30
- 36.78°, rel. 30
- 45.08°, rel. 22
- 44.10°, rel. 20
- 24.18°, rel. 19
- 23.76°, rel. 17
- 59.53°, rel. 14

***

# 2
Diffraction record for Cs2AsAuCl6. The XRD peak list is theoretical, not measured: it uses a structure optimized by DFT (GGA-PBE) and a wavelength of 1.5418 Å.
Intensities are scaled so that the largest is 100.

Atomic structure:
```
data_Cs2AsAuCl6
_symmetry_space_group_name_H-M 'P 1'
_symmetry_Int_Tables_number 1
_cell_length_a 7.452
_cell_length_b 7.452
_cell_length_c 7.452
_cell_angle_alpha 60.00
_cell_angle_beta 60.00
_cell_angle_gamma 60.00
loop_
_symmetry_equiv_pos_as_xyz
'x,y,z'
loop_
_atom_site_label
_atom_site_type_symbol
_atom_site_fract_x
_atom_site_fract_y
_atom_site_fract_z
Cs1 Cs 0.250 0.250 0.250
Cs2 Cs 0.750 0.750 0.750
As1 As 0.000 0.000 0.000
Au1 Au 0.500 0.500 0.500
Cl1 Cl 0.241 0.241 0.759
Cl2 Cl 0.241 0.759 0.241
Cl3 Cl 0.241 0.759 0.759
Cl4 Cl 0.759 0.241 0.241
Cl5 Cl 0.759 0.241 0.759
Cl6 Cl 0.759 0.759 0.241
```

Peak list (10 most intense, 2θ from 10° to 90°, in order of falling intensity)
- 23.88°, rel. 100
- 34.03°, rel. 53
- 42.00°, rel. 46
- 48.89°, rel. 36
- 66.38°, rel. 25
- 55.12°, rel. 22
- 81.73°, rel. 16
- 60.91°, rel. 12
- 76.74°, rel. 12
- 14.56°, rel. 10

***

# 3
Diffraction record for ScRh2Pb. The XRD peak list is theoretical, not measured: it uses a structure optimized by DFT (GGA-PBE) and a wavelength of 1.5418 Å.
Intensities are scaled so that the largest is 100.

Atomic structure:
```
data_ScRh2Pb
_symmetry_space_group_name_H-M 'P 1'
_symmetry_Int_Tables_number 1
_cell_length_a 6.561
_cell_length_b 6.561
_cell_length_c 6.561
_cell_angle_alpha 90.00
_cell_angle_beta 90.00
_cell_angle_gamma 90.00
loop_
_symmetry_equiv_pos_as_xyz
'x,y,z'
loop_
_atom_site_label
_atom_site_type_symbol
_atom_site_fract_x
_atom_site_fract_y
_atom_site_fract_z
Sc1 Sc 0.000 0.000 0.000
Sc2 Sc 0.000 0.500 0.500
Sc3 Sc 0.500 0.000 0.500
Sc4 Sc 0.500 0.500 0.000
Rh1 Rh 0.250 0.250 0.250
Rh2 Rh 0.250 0.250 0.750
Rh3 Rh 0.250 0.750 0.250
Rh4 Rh 0.250 0.750 0.750
Rh5 Rh 0.750 0.250 0.250
Rh6 Rh 0.750 0.250 0.750
Rh7 Rh 0.750 0.750 0.250
Rh8 Rh 0.750 0.750 0.750
Pb1 Pb 0.000 0.000 0.500
Pb2 Pb 0.000 0.500 0.000
Pb3 Pb 0.500 0.000 0.000
Pb4 Pb 0.500 0.500 0.500
```

Peak list (10 most intense, 2θ from 10° to 90°, in order of falling intensity)
- 38.82°, rel. 100
- 70.29°, rel. 34
- 23.48°, rel. 28
- 56.07°, rel. 17
- 45.87°, rel. 16
- 83.31°, rel. 11
- 61.62°, rel. 7
- 88.07°, rel. 6
- 75.26°, rel. 5
- 27.18°, rel. 1

***

# 4
Diffraction record for Rb2CuC2O7. The XRD peak list is theoretical, not measured: it uses a structure optimized by DFT (GGA-PBE) and a wavelength of 1.5418 Å.
Intensities are scaled so that the largest is 100.

Atomic structure:
```
data_Rb2CuC2O7
_symmetry_space_group_name_H-M 'P 1'
_symmetry_Int_Tables_number 1
_cell_length_a 7.974
_cell_length_b 14.976
_cell_length_c 6.663
_cell_angle_alpha 90.00
_cell_angle_beta 92.13
_cell_angle_gamma 90.00
loop_
_symmetry_equiv_pos_as_xyz
'x,y,z'
loop_
_atom_site_label
_atom_site_type_symbol
_atom_site_fract_x
_atom_site_fract_y
_atom_site_fract_z
Rb1 Rb 0.083 0.104 0.234
Rb2 Rb 0.083 0.396 0.734
Rb3 Rb 0.408 0.100 0.745
Rb4 Rb 0.408 0.400 0.245
Rb5 Rb 0.592 0.600 0.755
Rb6 Rb 0.592 0.900 0.255
Rb7 Rb 0.917 0.604 0.266
Rb8 Rb 0.917 0.896 0.766
Cu1 Cu 0.248 0.735 0.071
Cu2 Cu 0.248 0.765 0.571
Cu3 Cu 0.752 0.235 0.429
Cu4 Cu 0.752 0.265 0.929
C1 C 0.060 0.644 0.763
C2 C 0.060 0.856 0.263
C3 C 0.446 0.638 0.237
C4 C 0.446 0.862 0.737
C5 C 0.554 0.138 0.263
C6 C 0.554 0.362 0.763
C7 C 0.940 0.144 0.737
C8 C 0.940 0.356 0.237
O1 O 0.039 0.079 0.723
O2 O 0.039 0.421 0.223
O3 O 0.057 0.712 0.889
O4 O 0.057 0.788 0.389
O5 O 0.169 0.646 0.619
O6 O 0.169 0.854 0.119
O7 O 0.256 0.244 0.469
O8 O 0.256 0.256 0.969
O9 O 0.343 0.616 0.084
O10 O 0.343 0.884 0.584
O11 O 0.424 0.723 0.289
O12 O 0.424 0.777 0.789
O13 O 0.453 0.085 0.180
O14 O 0.453 0.415 0.680
O15 O 0.547 0.585 0.320
O16 O 0.547 0.915 0.820
O17 O 0.576 0.223 0.211
O18 O 0.576 0.277 0.711
O19 O 0.657 0.116 0.416
O20 O 0.657 0.384 0.916
O21 O 0.744 0.744 0.031
O22 O 0.744 0.756 0.531
O23 O 0.831 0.146 0.881
O24 O 0.831 0.354 0.381
O25 O 0.943 0.212 0.611
O26 O 0.943 0.288 0.111
O27 O 0.961 0.579 0.777
O28 O 0.961 0.921 0.277
```

Peak list (10 most intense, 2θ from 10° to 90°, in order of falling intensity)
- 21.00°, rel. 100
- 26.32°, rel. 68
- 29.35°, rel. 67
- 36.10°, rel. 63
- 27.17°, rel. 47
- 26.78°, rel. 43
- 32.82°, rel. 43
- 21.31°, rel. 42
- 11.82°, rel. 39
- 35.98°, rel. 38

***

# 5
Diffraction record for Ta. The XRD peak list is theoretical, not measured: it uses a structure optimized by DFT (GGA-PBE) and a wavelength of 1.5418 Å.
Intensities are scaled so that the largest is 100.

Atomic structure:
```
data_Ta
_symmetry_space_group_name_H-M 'P 1'
_symmetry_Int_Tables_number 1
_cell_length_a 4.227
_cell_length_b 4.227
_cell_length_c 4.227
_cell_angle_alpha 90.00
_cell_angle_beta 90.00
_cell_angle_gamma 90.00
loop_
_symmetry_equiv_pos_as_xyz
'x,y,z'
loop_
_atom_site_label
_atom_site_type_symbol
_atom_site_fract_x
_atom_site_fract_y
_atom_site_fract_z
Ta1 Ta 0.000 0.000 0.000
Ta2 Ta 0.000 0.500 0.500
Ta3 Ta 0.500 0.000 0.500
Ta4 Ta 0.500 0.500 0.000
```

Peak list (5 most intense, 2θ from 10° to 90°, in order of falling intensity)
- 36.83°, rel. 100
- 42.79°, rel. 50
- 74.44°, rel. 39
- 62.11°, rel. 33
- 78.37°, rel. 11

***

# 6
Diffraction record for HoSi2Os2. The XRD peak list is theoretical, not measured: it uses a structure optimized by DFT (GGA-PBE) and a wavelength of 1.5418 Å.
Intensities are scaled so that the largest is 100.

Atomic structure:
```
data_HoSi2Os2
_symmetry_space_group_name_H-M 'P 1'
_symmetry_Int_Tables_number 1
_cell_length_a 4.184
_cell_length_b 4.184
_cell_length_c 9.614
_cell_angle_alpha 90.00
_cell_angle_beta 90.00
_cell_angle_gamma 90.00
loop_
_symmetry_equiv_pos_as_xyz
'x,y,z'
loop_
_atom_site_label
_atom_site_type_symbol
_atom_site_fract_x
_atom_site_fract_y
_atom_site_fract_z
Ho1 Ho 0.000 0.000 0.000
Ho2 Ho 0.500 0.500 0.500
Si1 Si 0.000 0.000 0.372
Si2 Si 0.000 0.000 0.628
Si3 Si 0.500 0.500 0.128
Si4 Si 0.500 0.500 0.872
Os1 Os 0.000 0.500 0.250
Os2 Os 0.000 0.500 0.750
Os3 Os 0.500 0.000 0.250
Os4 Os 0.500 0.000 0.750
```

Peak list (10 most intense, 2θ from 10° to 90°, in order of falling intensity)
- 35.63°, rel. 100
- 43.25°, rel. 36
- 74.36°, rel. 24
- 18.46°, rel. 20
- 58.49°, rel. 20
- 37.41°, rel. 18
- 66.34°, rel. 17
- 23.18°, rel. 15
- 35.28°, rel. 15
- 62.82°, rel. 12

***

Please write out number 3 again, unchanged.
Diffraction record for ScRh2Pb. The XRD peak list is theoretical, not measured: it uses a structure optimized by DFT (GGA-PBE) and a wavelength of 1.5418 Å.
Intensities are scaled so that the largest is 100.

Atomic structure:
```
data_ScRh2Pb
_symmetry_space_group_name_H-M 'P 1'
_symmetry_Int_Tables_number 1
_cell_length_a 6.561
_cell_length_b 6.561
_cell_length_c 6.561
_cell_angle_alpha 90.00
_cell_angle_beta 90.00
_cell_angle_gamma 90.00
loop_
_symmetry_equiv_pos_as_xyz
'x,y,z'
loop_
_atom_site_label
_atom_site_type_symbol
_atom_site_fract_x
_atom_site_fract_y
_atom_site_fract_z
Sc1 Sc 0.000 0.000 0.000
Sc2 Sc 0.000 0.500 0.500
Sc3 Sc 0.500 0.000 0.500
Sc4 Sc 0.500 0.500 0.000
Rh1 Rh 0.250 0.250 0.250
Rh2 Rh 0.250 0.250 0.750
Rh3 Rh 0.250 0.750 0.250
Rh4 Rh 0.250 0.750 0.750
Rh5 Rh 0.750 0.250 0.250
Rh6 Rh 0.750 0.250 0.750
Rh7 Rh 0.750 0.750 0.250
Rh8 Rh 0.750 0.750 0.750
Pb1 Pb 0.000 0.000 0.500
Pb2 Pb 0.000 0.500 0.000
Pb3 Pb 0.500 0.000 0.000
Pb4 Pb 0.500 0.500 0.500
```

Peak list (10 most intense, 2θ from 10° to 90°, in order of falling intensity)
- 38.82°, rel. 100
- 70.29°, rel. 34
- 23.48°, rel. 28
- 56.07°, rel. 17
- 45.87°, rel. 16
- 83.31°, rel. 11
- 61.62°, rel. 7
- 88.07°, rel. 6
- 75.26°, rel. 5
- 27.18°, rel. 1